Structure and simulated X-ray powder pattern of TbHoCu2Bi4 (the GGA-PBE geometry in OQMD; Cu Kα (weighted mean of Kα1 and Kα2)).
Neutral-atom scattering factors, no anomalous dispersion.

Most intense lines, 2θ from 10° to 90°, most intense first:
d 2.669, 2θ 33.57, I = 100, hkl 1 1 2
d 2.269, 2θ 39.72, I = 48, hkl 2 0 0
d 3.044, 2θ 29.34, I = 31, hkl 1 1 1
d 1.375, 2θ 68.18, I = 26, hkl 3 1 2
d 3.205, 2θ 27.84, I = 23, hkl 0 0 3
d 1.852, 2θ 49.19, I = 18, hkl 2 0 3

Cell and atoms:
```
TbHoCu2Bi4
1.0
4.539 0.000 0.000
0.000 4.539 0.000
0.000 0.000 9.613
Tb Ho Cu Bi
1 1 2 4
direct
0.000 0.000 0.000 Tb
0.500 0.500 0.530 Ho
0.000 0.500 0.763 Cu
0.500 0.000 0.763 Cu
0.000 0.000 0.596 Bi
0.000 0.500 0.266 Bi
0.500 0.000 0.266 Bi
0.500 0.500 0.931 Bi
```